Entry 1:
Diffraction record for MoPt2. The PXRD pattern is computed, not measured: it uses a GGA-PBE-relaxed structure and Cu Kα X-rays.
Peak positions follow from Bragg's law for the DFT cell and can differ from measured ones.

Structural model:
```
data_MoPt2
_chemical_formula_sum 'Mo2 Pt4'
_cell_length_a 2.7751
_cell_length_b 3.9697
_cell_length_c 8.3547
_cell_angle_alpha 90.00
_cell_angle_beta 90.00
_cell_angle_gamma 90.00
_symmetry_space_group_name_H-M 'P m m n'
_symmetry_Int_Tables_number 59
loop_
_symmetry_equiv_pos_as_xyz
'x,y,z'
'-x,-y,-z'
'-x+1/2,-y+1/2,z'
'x+1/2,y+1/2,-z'
'x+1/2,-y,-z'
'-x+1/2,y,z'
'-x,y+1/2,-z'
'x,-y+1/2,z'
loop_
_atom_site_label
_atom_site_fract_x
_atom_site_fract_y
_atom_site_fract_z
Mo1 0.2500 0.2500 0.2502
Pt1 0.2500 0.2500 0.5869
Pt2 0.2500 0.2500 0.9131
```

Largest 8 diffraction maxima, by angle, 10 to 90 degrees two-theta:
| d/Å | I (rel.) |
| --- | --- |
| 3.586 | 71 |
| 2.277 | 1000 |
| 1.985 | 167 |
| 1.966 | 322 |
| 1.397 | 213 |
| 1.195 | 130 |
| 1.188 | 126 |
| 1.185 | 127 |


Entry 2:
Diffraction record for Sn2Mo3Pt2. The PXRD pattern is computed, not measured: it uses a GGA-PBE-relaxed structure and Cu Kα X-rays.
Peak positions follow from Bragg's law for the DFT cell and can differ from measured ones.

Structural model:
```
data_Sn2Mo3Pt2
_chemical_formula_sum 'Sn4 Mo6 Pt4'
_cell_length_a 4.4591
_cell_length_b 4.4591
_cell_length_c 15.8152
_cell_angle_alpha 90.00
_cell_angle_beta 90.00
_cell_angle_gamma 120.00
_symmetry_space_group_name_H-M 'P 63/m m c'
_symmetry_Int_Tables_number 194
_symmetry_space_group_name_Hall '-P 6c 2c'
loop_
_atom_site_label
_atom_site_fract_x
_atom_site_fract_y
_atom_site_fract_z
Sn1 0.3333 0.6667 0.0748
Mo1 0.0000 0.0000 0.1719
Mo2 0.3333 0.6667 0.7500
Pt1 0.0000 0.0000 0.0000
Pt2 0.3333 0.6667 0.2500
```

Largest 8 diffraction maxima, by angle, 10 to 90 degrees two-theta:
| d/Å | I (rel.) |
| --- | --- |
| 3.954 | 197 |
| 3.752 | 287 |
| 3.470 | 186 |
| 2.230 | 1000 |
| 2.177 | 911 |
| 1.558 | 317 |
| 1.277 | 331 |
| 1.135 | 210 |


Entry 3:
Diffraction record for MoPt6W. The PXRD pattern is computed, not measured: it uses a GGA-PBE-relaxed structure and Cu Kα X-rays.
Peak positions follow from Bragg's law for the DFT cell and can differ from measured ones.

Structural model:
```
data_MoPt6W
_chemical_formula_sum 'Mo1 Pt6 W1'
_cell_length_a 5.5615
_cell_length_b 5.5615
_cell_length_c 4.5877
_cell_angle_alpha 90.00
_cell_angle_beta 90.00
_cell_angle_gamma 120.00
_symmetry_space_group_name_H-M 'P -6 m 2'
_symmetry_Int_Tables_number 187
_symmetry_space_group_name_Hall 'P -6 2'
loop_
_atom_site_label
_atom_site_fract_x
_atom_site_fract_y
_atom_site_fract_z
Mo1 0.0000 0.0000 0.0000
Pt1 0.0096 0.5048 0.0000
Pt2 0.3237 0.1618 0.5000
W1 0.3333 0.6667 0.5000
```

Largest 8 diffraction maxima, by angle, 10 to 90 degrees two-theta:
| d/Å | I (rel.) |
| --- | --- |
| 2.408 | 239 |
| 2.294 | 276 |
| 2.132 | 1000 |
| 1.661 | 156 |
| 1.390 | 169 |
| 1.291 | 202 |
| 1.189 | 206 |
| 1.165 | 146 |


Entry 4:
Diffraction record for Rb2Mo9S11. The PXRD pattern is computed, not measured: it uses a GGA-PBE-relaxed structure and Cu Kα X-rays.
Peak positions follow from Bragg's law for the DFT cell and can differ from measured ones.

Structural model:
```
data_Rb2Mo9S11
_chemical_formula_sum 'Rb12 Mo54 S66'
_cell_length_a 9.4301
_cell_length_b 9.4301
_cell_length_c 36.1577
_cell_angle_alpha 90.00
_cell_angle_beta 90.00
_cell_angle_gamma 120.00
_symmetry_space_group_name_H-M 'R -3 c'
_symmetry_Int_Tables_number 167
_symmetry_space_group_name_Hall '-R 3 2"c'
loop_
_atom_site_label
_atom_site_fract_x
_atom_site_fract_y
_atom_site_fract_z
Rb1 0.0000 0.0000 0.0513
Mo1 0.0000 0.1666 0.2500
Mo2 0.0095 0.1679 0.8130
S1 0.0000 0.0000 0.1362
S2 0.0000 0.3025 0.7500
S3 0.0195 0.3109 0.1921
```

Largest 8 diffraction maxima, by angle, 10 to 90 degrees two-theta:
| d/Å | I (rel.) |
| --- | --- |
| 7.443 | 1000 |
| 6.056 | 180 |
| 4.715 | 157 |
| 3.955 | 150 |
| 3.043 | 211 |
| 2.650 | 189 |
| 2.178 | 165 |
| 2.033 | 422 |


Entry 5:
Diffraction record for Rb2MoSe2S. The PXRD pattern is computed, not measured: it uses a GGA-PBE-relaxed structure and Cu Kα X-rays.
Peak positions follow from Bragg's law for the DFT cell and can differ from measured ones.

Structural model:
```
data_Rb2MoSe2S
_chemical_formula_sum 'Rb4 Mo2 Se4 S2'
_cell_length_a 7.1427
_cell_length_b 7.7462
_cell_length_c 8.8956
_cell_angle_alpha 74.62
_cell_angle_beta 69.10
_cell_angle_gamma 66.76
_symmetry_space_group_name_H-M 'P -1'
_symmetry_Int_Tables_number 2
_symmetry_space_group_name_Hall '-P 1'
loop_
_atom_site_label
_atom_site_fract_x
_atom_site_fract_y
_atom_site_fract_z
Rb1 0.0913 0.1919 0.1401
Rb2 0.3378 0.5689 0.3060
Mo1 0.3841 0.0500 0.6591
Se1 0.1751 0.3659 0.7215
Se2 0.3805 0.8261 0.9034
S1 0.2756 0.9622 0.4865
```

Largest 8 diffraction maxima, by angle, 10 to 90 degrees two-theta:
| d/Å | I (rel.) |
| --- | --- |
| 5.862 | 354 |
| 3.560 | 1000 |
| 3.421 | 714 |
| 3.346 | 628 |
| 2.690 | 236 |
| 2.438 | 341 |
| 2.336 | 224 |
| 2.176 | 339 |


Entry 6:
Diffraction record for Rb2MoSe2S. The PXRD pattern is computed, not measured: it uses a GGA-PBE-relaxed structure and Cu Kα X-rays.
Peak positions follow from Bragg's law for the DFT cell and can differ from measured ones.

Structural model:
```
data_Rb2MoSe2S
_chemical_formula_sum 'Rb8 Mo4 Se8 S4'
_cell_length_a 14.2687
_cell_length_b 7.1446
_cell_length_c 10.1907
_cell_angle_alpha 90.00
_cell_angle_beta 126.09
_cell_angle_gamma 90.00
_symmetry_space_group_name_H-M 'C 1 2/m 1'
_symmetry_Int_Tables_number 12
_symmetry_space_group_name_Hall '-C 2y'
loop_
_atom_site_label
_atom_site_fract_x
_atom_site_fract_y
_atom_site_fract_z
Rb1 0.0847 0.0000 0.3603
Rb2 0.1921 0.5000 0.8091
Mo1 0.1050 0.5000 0.1600
Se1 0.1120 0.5000 0.4003
Se2 0.2038 0.0000 0.7762
S1 0.0000 0.2496 0.0000
```

Largest 8 diffraction maxima, by angle, 10 to 90 degrees two-theta:
| d/Å | I (rel.) |
| --- | --- |
| 5.827 | 372 |
| 3.572 | 1000 |
| 3.421 | 704 |
| 3.364 | 588 |
| 2.698 | 253 |
| 2.471 | 377 |
| 2.449 | 332 |
| 2.188 | 280 |